Starting from a DFT-relaxed cell (PBE+U, the Materials Project), the PXRD pattern of K2VP2O8 was calculated for Cu Kα (weighted mean of Kα1 and Kα2).
Kinematic intensities with the Lorentz-polarization factor, no thermal factor.

Top 10 peaks for 10 to 90 degrees two-theta, sorted by position:
| (hkl) | 2theta | I/Imax |
| --- | --- | --- |
| 0 0 1 | 16.01 | 33 |
| 2 0 1 | 26.60 | 41 |
| 2 1 1 | 28.67 | 100 |
| 0 0 2 | 32.34 | 20 |
| 3 1 0 | 33.66 | 33 |
| 4 1 0 | 44.35 | 10 |
| 3 1 2 | 47.39 | 17 |
| 4 2 0 | 48.34 | 11 |
| 2 1 3 | 55.44 | 10 |
| 3 1 4 | 77.76 | 9 |

Atomic structure:
Lattice parameters (Å, degrees): 8.421 8.421 5.537 90.00 90.00 90.00
Element x y z (fractional)
K: 0.172 0.328 0.000
K: 0.328 0.828 0.000
K: 0.672 0.172 0.000
K: 0.828 0.672 0.000
V: 0.000 0.000 0.474
V: 0.500 0.500 0.474
P: 0.128 0.628 0.486
P: 0.372 0.128 0.486
P: 0.628 0.872 0.486
P: 0.872 0.372 0.486
O: 0.000 0.000 0.769
O: 0.000 0.500 0.377
O: 0.076 0.785 0.366
O: 0.127 0.627 0.757
O: 0.215 0.076 0.366
O: 0.285 0.576 0.366
O: 0.373 0.127 0.757
O: 0.424 0.285 0.366
O: 0.500 0.000 0.377
O: 0.500 0.500 0.769
O: 0.576 0.715 0.366
O: 0.627 0.873 0.757
O: 0.715 0.424 0.366
O: 0.785 0.924 0.366
O: 0.873 0.373 0.757
O: 0.924 0.215 0.366